(1)
Structure and computed powder XRD pattern of Np4S5 (a PBE-relaxed structure; Cu Kα (λ = 1.5418 Å)).
Neutral-atom scattering factors, no anomalous dispersion.

Structural model:
```
Np4S5
1.0
-5.5519 5.5519 1.8757
5.5519 -5.5519 1.8757
5.5519 5.5519 -1.8757
Np S
4 5
Cartesian
8.6660 1.0198 0.0000
1.0198 2.4378 0.0000
4.5321 3.1141 1.8757
-3.1141 4.5321 1.8757
0.0000 0.0000 0.0000
6.6335 2.8612 0.0000
2.8612 4.4703 0.0000
2.6907 1.0816 1.8757
-1.0816 2.6907 1.8757
```

Largest 6 diffraction maxima, sorted by position, 2θ from 15° to 90°:
2theta, I/Imax
25.1, 61
25.4, 100
29.8, 78
36.2, 52
37.8, 74
41.3, 58


(2)
Structure and computed powder XRD pattern of CdAs4O16 (a PBE-relaxed structure; Cu Kα (λ = 1.5418 Å)).
Neutral-atom scattering factors, no anomalous dispersion.

Structural model:
```
CdAs4O16
1.0
5.8548 0.0000 0.0000
-0.5567 5.8334 0.0000
-0.2619 -2.8925 9.0607
Cd As O
1 4 16
Cartesian
0.0000 0.0000 0.0000
0.1329 -1.0157 5.8272
2.2879 1.8408 7.1563
2.7482 1.1001 1.9044
4.9032 3.9567 3.2335
0.0501 4.5945 1.9667
0.2481 0.7875 5.7112
0.3703 3.7954 4.5983
0.6767 1.6751 7.7562
1.6190 1.3366 0.6792
1.6261 -1.0575 6.9857
2.5019 -0.3995 2.8399
2.4464 0.6258 5.8648
2.5898 2.3151 3.1959
2.5343 3.3405 6.2208
3.4101 3.9985 2.0750
3.4172 1.6043 8.3815
4.3594 1.2659 1.3045
4.6658 -0.8545 4.4624
4.7881 2.1534 3.3494
4.9860 -1.6536 7.0939
```

Largest 6 diffraction maxima, sorted by position, 2θ from 15° to 90°:
2theta, I/Imax
16.0, 63
20.9, 75
21.2, 100
24.2, 58
24.7, 52
30.7, 49


(3)
Structure and computed powder XRD pattern of KHg3Pt (a PBE-relaxed structure; Cu Kα (λ = 1.5418 Å)).
Neutral-atom scattering factors, no anomalous dispersion.

Structural model:
```
KHg3Pt
1.0
5.6859 0.0000 0.0000
0.0047 6.6868 0.0000
0.0581 0.2476 7.3009
K Hg Pt
2 6 2
Cartesian
0.0000 0.0000 0.0000
2.8587 1.7548 2.7080
0.0225 3.2902 0.8081
2.8750 5.4935 5.0973
2.8914 2.2706 6.3496
2.8525 4.9890 0.5801
5.7061 3.1966 4.8388
5.7002 0.3427 3.9078
1.3818 4.8120 2.8736
4.3482 4.8119 2.8557
```

Largest 6 diffraction maxima, sorted by position, 2θ from 15° to 90°:
2theta, I/Imax
18.3, 44
31.0, 100
31.5, 30
32.3, 34
32.5, 34
42.1, 28


(4)
Structure and computed powder XRD pattern of Ce2Dy5Ir4 (a PBE-relaxed structure; Cu Kα (λ = 1.5418 Å)).
Neutral-atom scattering factors, no anomalous dispersion.

Structural model:
```
Ce2Dy5Ir4
1.0
11.6647 -2.0242 0.0000
11.6647 2.0242 0.0000
-1.4582 0.0000 6.3708
Ce Dy Ir
2 5 4
Cartesian
1.7097 0.0000 0.4979
20.1615 0.0000 5.8730
-0.7291 0.0000 3.1854
5.2527 0.0000 4.7226
8.1280 0.0000 2.2578
13.7431 0.0000 4.1130
16.6185 0.0000 1.6482
3.3144 0.0000 2.6961
10.8542 0.0000 1.1686
11.0170 0.0000 5.2023
18.5567 0.0000 3.6748
```

Largest 6 diffraction maxima, sorted by position, 2θ from 15° to 90°:
2theta, I/Imax
27.3, 53
30.0, 100
30.8, 92
36.8, 60
37.9, 91
44.8, 51


(5)
Structure and computed powder XRD pattern of LiCa8Pt2 (a PBE-relaxed structure; Cu Kα (λ = 1.5418 Å)).
Neutral-atom scattering factors, no anomalous dispersion.

Structural model:
```
LiCa8Pt2
1.0
4.5884 -6.7443 0.0000
4.5884 6.7443 0.0000
-1.2724 0.0000 5.7378
Li Ca Pt
1 8 2
Cartesian
0.0000 0.0000 0.0000
1.0723 1.8282 3.3690
4.5876 3.3637 0.0096
1.0723 -1.8282 3.3690
3.2889 0.0000 1.2285
4.6114 0.0000 4.5275
6.8304 1.8272 2.3877
4.5876 -3.3637 0.0096
6.8304 -1.8272 2.3877
3.9510 2.5028 2.8782
3.9510 -2.5028 2.8782
```

Largest 6 diffraction maxima, sorted by position, 2θ from 15° to 90°:
2theta, I/Imax
15.4, 100
19.8, 39
23.8, 41
28.3, 55
36.1, 39
36.7, 36


(6)
Structure and computed powder XRD pattern of Fe7Ge4 (a PBE-relaxed structure; Cu Kα (λ = 1.5418 Å)).
Neutral-atom scattering factors, no anomalous dispersion.

Structural model:
```
Fe7Ge4
1.0
8.0367 0.0000 0.0000
-4.0183 6.9600 0.0000
0.0000 0.0000 4.9561
Fe Ge
14 8
Cartesian
0.0000 0.0000 0.0000
0.0000 0.0000 2.4780
-2.0092 3.4800 0.0000
-2.0092 3.4800 2.4780
0.0000 2.2424 1.2390
-2.0764 5.8388 1.2390
1.9420 1.1212 3.7170
4.0183 0.0000 0.0000
4.0183 0.0000 2.4780
2.0092 3.4800 0.0000
2.0092 3.4800 2.4780
2.0764 5.8388 1.2390
6.0947 1.1212 3.7170
4.0183 4.7176 3.7170
0.0000 2.6103 3.7170
-1.7578 5.6548 3.7170
0.0000 4.6400 1.2390
2.2606 1.3051 1.2390
1.7578 5.6548 3.7170
4.0184 2.3200 3.7170
5.7761 1.3051 1.2390
4.0183 4.3497 1.2390
```

Largest 6 diffraction maxima, sorted by position, 2θ from 15° to 90°:
2theta, I/Imax
38.8, 16
44.9, 100
45.1, 100
65.6, 26
83.1, 25
83.3, 11


(7)
Structure and computed powder XRD pattern of Na5B7C3 (a PBE-relaxed structure; Cu Kα (λ = 1.5418 Å)).
Neutral-atom scattering factors, no anomalous dispersion.

Structural model:
```
Na5B7C3
1.0
11.5649 -1.4044 0.0000
11.5649 1.4044 0.0000
-2.9561 0.0000 9.5995
Na B C
10 14 6
Cartesian
0.0000 0.0000 0.0000
0.2039 0.0000 6.6966
3.4208 0.0000 3.8736
6.6771 0.0000 0.9661
6.9009 0.0000 7.6509
10.0869 0.0000 4.7997
13.2728 0.0000 1.9486
13.4967 0.0000 8.6334
16.7529 0.0000 5.7258
19.9698 0.0000 2.9029
0.7251 0.0000 4.0695
-0.1612 0.0000 9.5140
3.8935 0.0000 1.1554
3.9557 0.0000 7.6000
6.2561 0.0000 3.7471
9.5208 0.0000 0.9421
10.6716 0.0000 2.2502
9.5021 0.0000 7.3493
10.6529 0.0000 8.6574
13.9177 0.0000 5.8524
16.2180 0.0000 1.9994
16.2802 0.0000 8.4440
20.3349 0.0000 0.0854
19.4486 0.0000 5.5299
-0.3648 0.0000 2.8605
2.9188 0.0000 6.4547
7.3442 0.0000 4.9290
12.8295 0.0000 4.6704
17.2549 0.0000 3.1448
20.5385 0.0000 6.7389
```

Largest 6 diffraction maxima, sorted by position, 2θ from 15° to 90°:
2theta, I/Imax
36.4, 17
40.8, 48
42.0, 38
42.2, 100
63.4, 16
76.9, 13


(8)
Structure and computed powder XRD pattern of Th2P3N7 (a PBE-relaxed structure; Cu Kα (λ = 1.5418 Å)).
Neutral-atom scattering factors, no anomalous dispersion.

Structural model:
```
Th2P3N7
1.0
10.8526 -2.3641 0.0000
10.8526 2.3641 0.0000
0.0000 0.0000 6.7394
Th P N
4 6 14
Cartesian
8.5008 1.1861 3.3697
13.2045 1.1861 3.3697
8.5008 -1.1861 0.0000
13.2045 -1.1861 0.0000
6.2314 1.0107 0.4711
10.8526 1.4283 5.8134
15.4739 1.0107 0.4711
6.2314 -1.0107 3.8408
10.8526 -1.4283 2.4437
15.4739 -1.0107 3.8408
7.6211 1.4863 1.1582
10.8526 1.9223 3.2305
6.0480 0.5952 4.2216
9.4431 0.7671 5.5344
14.0842 1.4863 1.1582
12.2622 0.7671 5.5344
6.0480 -0.5952 0.8519
15.6573 0.5952 4.2216
9.4431 -0.7671 2.1647
7.6211 -1.4863 4.5279
12.2622 -0.7671 2.1647
15.6573 -0.5952 0.8519
10.8526 -1.9223 6.6002
14.0842 -1.4863 4.5279
```

Largest 6 diffraction maxima, sorted by position, 2θ from 15° to 90°:
2theta, I/Imax
16.3, 51
23.3, 83
26.5, 35
31.0, 100
44.3, 28
50.0, 29


(9)
Structure and computed powder XRD pattern of CuMoS4N (a PBE-relaxed structure; Cu Kα (λ = 1.5418 Å)).
Neutral-atom scattering factors, no anomalous dispersion.

Structural model:
```
CuMoS4N
1.0
-4.1079 4.1079 2.7285
4.1079 -4.1079 2.7285
4.1079 4.1079 -2.7285
Cu Mo S N
1 1 4 1
Cartesian
0.0000 0.0000 0.0000
0.0000 0.0000 2.7285
3.2498 2.5411 -1.3107
0.8581 1.5668 1.4178
1.5668 -0.8581 4.0392
2.5411 4.9660 1.3107
4.1079 0.0000 1.3643
```

Largest 6 diffraction maxima, sorted by position, 2θ from 15° to 90°:
2theta, I/Imax
15.3, 100
21.6, 26
29.3, 27
39.7, 16
48.4, 31
49.6, 13


(10)
Structure and computed powder XRD pattern of Y5CN4 (a PBE-relaxed structure; Cu Kα (λ = 1.5418 Å)).
Neutral-atom scattering factors, no anomalous dispersion.

Structural model:
```
Y5CN4
1.0
1.7426 1.0061 14.4580
-1.7426 1.0061 14.4580
0.0000 -2.0122 14.4580
Y C N
5 1 4
Cartesian
0.0000 0.0000 0.0000
0.0000 0.0000 8.7778
0.0000 0.0000 17.2962
0.0000 0.0000 26.0778
0.0000 0.0000 34.5963
0.0000 0.0000 21.6870
0.0000 0.0000 4.2520
0.0000 0.0000 13.0402
0.0000 0.0000 30.3339
0.0000 0.0000 39.1221
```

Largest 6 diffraction maxima, sorted by position, 2θ from 15° to 90°:
2theta, I/Imax
30.9, 28
31.4, 84
36.3, 100
51.9, 32
52.5, 33
62.2, 24


(11)
Structure and computed powder XRD pattern of AcNd3Sm6 (a PBE-relaxed structure; Cu Kα (λ = 1.5418 Å)).
Neutral-atom scattering factors, no anomalous dispersion.

Structural model:
```
AcNd3Sm6
1.0
5.7688 -6.7571 0.0000
5.7688 6.7571 0.0000
0.0000 0.0000 9.3394
Ac Nd Sm
2 6 12
Cartesian
5.7688 3.4740 4.6697
5.7688 -3.4740 0.0000
5.7688 6.3980 7.8075
3.2593 1.0414 8.7175
3.2593 -1.0414 4.0478
8.2783 1.0414 8.7175
8.2783 -1.0414 4.0478
5.7688 -6.3980 3.1378
2.1961 1.5476 5.7579
2.8381 2.1930 2.4964
5.7688 3.1030 8.7760
2.1961 -1.5476 1.0882
2.8381 -2.1930 7.1660
5.7688 0.1192 1.8203
5.7688 -0.1192 6.4900
8.6995 2.1930 2.4964
9.3415 1.5476 5.7579
5.7688 -3.1030 4.1063
8.6995 -2.1930 7.1660
9.3415 -1.5476 1.0882
```

Largest 6 diffraction maxima, sorted by position, 2θ from 15° to 90°:
2theta, I/Imax
27.9, 100
30.7, 83
31.0, 47
31.6, 48
32.2, 53
35.4, 40


(12)
Structure and computed powder XRD pattern of TaTi4Au (a PBE-relaxed structure; Cu Kα (λ = 1.5418 Å)).
Neutral-atom scattering factors, no anomalous dispersion.

Structural model:
```
TaTi4Au
1.0
4.4184 0.0000 0.0000
0.0000 4.4184 0.0000
0.0000 0.0000 6.2202
Ta Ti Au
1 4 1
Cartesian
0.0000 0.0000 0.0000
0.0000 2.2092 1.5031
0.0000 2.2092 4.7171
2.2092 0.0000 1.5031
2.2092 0.0000 4.7171
2.2092 2.2092 3.1101
```

Largest 6 diffraction maxima, sorted by position, 2θ from 15° to 90°:
2theta, I/Imax
24.7, 100
40.9, 90
48.3, 34
48.5, 17
65.2, 14
74.4, 20


Copy entry 4 word for word.
Structure and computed powder XRD pattern of Ce2Dy5Ir4 (a PBE-relaxed structure; Cu Kα (λ = 1.5418 Å)).
Neutral-atom scattering factors, no anomalous dispersion.

Structural model:
```
Ce2Dy5Ir4
1.0
11.6647 -2.0242 0.0000
11.6647 2.0242 0.0000
-1.4582 0.0000 6.3708
Ce Dy Ir
2 5 4
Cartesian
1.7097 0.0000 0.4979
20.1615 0.0000 5.8730
-0.7291 0.0000 3.1854
5.2527 0.0000 4.7226
8.1280 0.0000 2.2578
13.7431 0.0000 4.1130
16.6185 0.0000 1.6482
3.3144 0.0000 2.6961
10.8542 0.0000 1.1686
11.0170 0.0000 5.2023
18.5567 0.0000 3.6748
```

Largest 6 diffraction maxima, sorted by position, 2θ from 15° to 90°:
2theta, I/Imax
27.3, 53
30.0, 100
30.8, 92
36.8, 60
37.9, 91
44.8, 51


Question: What is the formula in the twelfth record?
Answer: TaTi4Au